1.
# MnNb3Mo
Simulated XRD peak list, Cu Kα. Input: a crystal structure in Alexandria, relaxed with PBE.
Kinematic intensities with the Lorentz-polarization factor, no thermal factor.

Largest 6 diffraction maxima, low angle first, 2θ = 10–90°:
2theta  intensity  h k l
13.78  32  0 0 3
35.65  93  0 2 1
40.12  100  0 2 4
41.69  45  1 1 6
42.62  96  2 0 5
63.43  42  2 2 0

Structural model:
```
data_MnNb3Mo
_chemical_formula_sum 'Mn6 Nb18 Mo6'
_cell_length_a 5.8663
_cell_length_b 5.8663
_cell_length_c 19.2840
_cell_angle_alpha 90.00
_cell_angle_beta 90.00
_cell_angle_gamma 120.00
_symmetry_space_group_name_H-M 'R -3 m'
_symmetry_Int_Tables_number 166
_symmetry_space_group_name_Hall '-R 3 2"'
loop_
_atom_site_label
_atom_site_type_symbol
_atom_site_fract_x
_atom_site_fract_y
_atom_site_fract_z
Mn1 Mn 0.0000 0.0000 0.1656
Nb1 Nb 0.0010 0.5005 0.5955
Mo1 Mo 0.0000 0.0000 0.3672
```



2.
# Be6Cu
Simulated XRD peak list, Cu Kα. Input: a crystal structure in Alexandria, relaxed with PBE.
Kinematic intensities with the Lorentz-polarization factor, no thermal factor.

Largest 6 diffraction maxima, low angle first, 2θ = 10–90°:
2theta  intensity  h k l
23.76  100  1 0 2
26.44  37  2 0 0
27.38  92  1 1 1
37.17  41  0 1 3
46.19  56  2 1 3
47.25  38  3 1 1

Structural model:
```
data_Be6Cu
_chemical_formula_sum 'Be24 Cu4'
_cell_length_a 6.742
_cell_length_b 4.086
_cell_length_c 9.005
_cell_angle_alpha 90.00
_cell_angle_beta 90.00
_cell_angle_gamma 90.00
_symmetry_space_group_name_H-M 'P n m a'
_symmetry_Int_Tables_number 62
_symmetry_space_group_name_Hall '-P 2ac 2n'
loop_
_atom_site_label
_atom_site_type_symbol
_atom_site_fract_x
_atom_site_fract_y
_atom_site_fract_z
Be1 Be 0.037 0.250 0.092
Be2 Be 0.056 0.504 0.307
Be3 Be 0.098 0.750 0.512
Be4 Be 0.153 0.250 0.855
Be5 Be 0.195 0.750 0.735
Cu1 Cu 0.244 0.750 0.096
```



3.
# Nb3Co6Si2
Simulated XRD peak list, Cu Kα. Input: a crystal structure in Alexandria, relaxed with PBE.
Kinematic intensities with the Lorentz-polarization factor, no thermal factor.

Largest 6 diffraction maxima, low angle first, 2θ = 10–90°:
2theta  intensity  h k l
34.49  14  3 1 0
37.90  29  2 2 2
41.07  41  3 2 1
46.87  100  3 3 0
70.61  13  6 1 1
76.90  17  6 2 2

Structural model:
```
data_Nb3Co6Si2
_chemical_formula_sum 'Nb12 Co24 Si8'
_cell_length_a 8.223
_cell_length_b 8.223
_cell_length_c 8.223
_cell_angle_alpha 90.00
_cell_angle_beta 90.00
_cell_angle_gamma 90.00
_symmetry_space_group_name_H-M 'I m -3 m'
_symmetry_Int_Tables_number 229
_symmetry_space_group_name_Hall '-I 4 2 3'
loop_
_atom_site_label
_atom_site_type_symbol
_atom_site_fract_x
_atom_site_fract_y
_atom_site_fract_z
Nb1 Nb 0.000 0.000 0.269
Co1 Co 0.000 0.346 0.346
Si1 Si 0.250 0.250 0.250
```



> Which formula does entry 2 have?

Be6Cu